No. 1
Calculated X-ray powder pattern
Compound: KGa22Ir6
Radiation: λ = 1.5418 Å (Cu Kα)
Structure: a DFT-relaxed cell (PBE, Alexandria)
Kinematic intensities with the Lorentz-polarization factor, no thermal factor.

Most intense lines, 10 to 90 degrees two-theta, low angle first:
4.540 Å, 2θ 19.55, intensity 36; 3.707 Å, 2θ 24.01, intensity 60; 3.210 Å, 2θ 27.79, intensity 34; 2.471 Å, 2θ 36.36, intensity 57; 2.270 Å, 2θ 39.71, intensity 100; 2.170 Å, 2θ 41.61, intensity 32; 2.140 Å, 2θ 42.23, intensity 21; 1.936 Å, 2θ 46.94, intensity 80; 1.473 Å, 2θ 63.12, intensity 26; 1.310 Å, 2θ 72.07, intensity 38

Crystal structure
abc: 12.840 12.840 12.840
angles: 90.00 90.00 90.00
Space group Fm-3m (No. 225)
Asymmetric unit:
K  0.000  0.000  0.000 x4
Ga  0.000  0.179  0.179 x48
Ga  0.119  0.119  0.381 x32
Ga  0.250  0.250  0.250 x8
Ir  0.000  0.000  0.264 x24


No. 2
Calculated X-ray powder pattern
Compound: La8Ga2Ir3
Radiation: λ = 1.5418 Å (Cu Kα)
Structure: a DFT-relaxed cell (PBE, Alexandria)
Kinematic intensities with the Lorentz-polarization factor, no thermal factor.

Most intense lines, 10 to 90 degrees two-theta, low angle first:
7.409 Å, 2θ 11.94, intensity 27; 2.588 Å, 2θ 34.66, intensity 100; 2.570 Å, 2θ 34.91, intensity 25; 2.544 Å, 2θ 35.28, intensity 25; 2.039 Å, 2θ 44.42, intensity 9; 1.808 Å, 2θ 50.47, intensity 18; 1.487 Å, 2θ 62.44, intensity 18; 1.477 Å, 2θ 62.92, intensity 18; 1.294 Å, 2θ 73.14, intensity 10; 1.147 Å, 2θ 84.50, intensity 13

Crystal structure
abc: 9.017 5.089 9.019
angles: 90.00 110.49 90.00
Space group P2/m (No. 10)
Asymmetric unit:
La  0.116  0.000  0.385 x2
La  0.136  0.500  0.872 x2
La  0.372  0.500  0.637 x2
La  0.383  0.000  0.116 x2
Ga  0.242  0.500  0.258 x2
Ir  0.240  0.000  0.739 x2
Ir  0.500  0.500  0.000 x1


No. 3
Calculated X-ray powder pattern
Compound: La3Ga6Ir5
Radiation: λ = 1.5418 Å (Cu Kα)
Structure: a DFT-relaxed cell (PBE, Alexandria)
Kinematic intensities with the Lorentz-polarization factor, no thermal factor.

Most intense lines, 10 to 90 degrees two-theta, low angle first:
3.730 Å, 2θ 23.86, intensity 19; 3.043 Å, 2θ 29.36, intensity 34; 2.701 Å, 2θ 33.17, intensity 27; 2.582 Å, 2θ 34.75, intensity 19; 2.571 Å, 2θ 34.89, intensity 100; 2.561 Å, 2θ 35.04, intensity 43; 2.384 Å, 2θ 37.73, intensity 22; 2.176 Å, 2θ 41.50, intensity 20; 2.128 Å, 2θ 42.49, intensity 56; 2.068 Å, 2θ 43.78, intensity 19

Crystal structure
abc: 4.255 13.055 9.621
angles: 90.00 90.00 90.00
Space group Pmmn (No. 59, origin choice 2)
Asymmetric unit:
La  0.250  0.057  0.250 x4
La  0.250  0.750  0.237 x2
Ga  0.250  0.067  0.911 x4
Ga  0.250  0.250  0.071 x2
Ga  0.250  0.250  0.466 x2
Ga  0.250  0.599  0.518 x4
Ir  0.250  0.092  0.631 x4
Ir  0.250  0.639  0.961 x4
Ir  0.250  0.750  0.704 x2